The following is a theoretical powder diffractogram of Li2CrO3. It was derived from a crystal structure in the Materials Project, relaxed with GGA+U, using a wavelength of 1.5418 Å.

Largest 10 diffraction maxima, by intensity, 10° ≤ 2θ ≤ 90°:
| 2θ/deg | I (rel.) |
| --- | --- |
| 18.81 | 100 |
| 22.23 | 48 |
| 30.22 | 45 |
| 54.15 | 32 |
| 43.49 | 29 |
| 22.65 | 25 |
| 30.60 | 21 |
| 53.47 | 20 |
| 33.81 | 12 |
| 47.55 | 11 |

Structural model:
a = 9.049 Å, b = 5.842 Å, c = 5.354 Å
α = 90.00°, β = 117.90°, γ = 90.00°
Space group C2/c (No. 15)
Symmetry-distinct sites (fractional):
Li 0.161 0.078 0.076 x8
Cr 0.000 0.414 0.250 x4
O 0.000 0.111 0.250 x4
O 0.150 0.433 0.066 x8

=====

The following is a theoretical powder diffractogram of LiCrO3. It was derived from a crystal structure in the Materials Project, relaxed with GGA+U, using a wavelength of 1.5418 Å.

Largest 8 diffraction maxima, by intensity, 10° ≤ 2θ ≤ 90°:
| 2θ/deg | I (rel.) |
| --- | --- |
| 24.19 | 100 |
| 49.55 | 31 |
| 34.48 | 31 |
| 55.88 | 30 |
| 72.70 | 15 |
| 77.90 | 12 |
| 61.77 | 11 |
| 83.00 | 5 |

Structural model:
a = 3.679 Å, b = 3.679 Å, c = 3.679 Å
α = 90.00°, β = 90.00°, γ = 90.00°
Space group Pm-3m (No. 221)
Symmetry-distinct sites (fractional):
Li 0.000 0.000 0.000 x1
Cr 0.500 0.500 0.500 x1
O 0.000 0.500 0.500 x3

=====

The following is a theoretical powder diffractogram of Li8CrO6. It was derived from a crystal structure in the Materials Project, relaxed with GGA+U, using a wavelength of 1.5418 Å.

Largest 10 diffraction maxima, by intensity, 10° ≤ 2θ ≤ 90°:
| 2θ/deg | I (rel.) |
| --- | --- |
| 24.67 | 100 |
| 18.38 | 71 |
| 32.12 | 36 |
| 33.19 | 33 |
| 57.27 | 32 |
| 32.97 | 29 |
| 40.92 | 23 |
| 16.31 | 22 |
| 52.95 | 18 |
| 54.08 | 16 |

Structural model:
a = 5.5725 Å, b = 5.5725 Å, c = 10.8677 Å
α = 90.00°, β = 90.00°, γ = 120.00°
Space group P6_3cm (No. 185)
Symmetry-distinct sites (fractional):
Li 0.0000 0.3146 0.0000 x6
Li 0.0000 0.3903 0.3616 x6
Li 0.3333 0.6667 0.1403 x4
Cr 0.0000 0.0000 0.2275 x2
O 0.0000 0.0000 0.3982 x2
O 0.0000 0.3096 0.1828 x6
O 0.3333 0.6667 0.4501 x4

=====

The following is a theoretical powder diffractogram of LiCrO2. It was derived from a crystal structure in the Materials Project, relaxed with GGA+U, using a wavelength of 1.5418 Å.

Largest 10 diffraction maxima, by intensity, 10° ≤ 2θ ≤ 90°:
| 2θ/deg | I (rel.) |
| --- | --- |
| 18.35 | 100 |
| 43.14 | 56 |
| 62.80 | 30 |
| 43.33 | 28 |
| 35.51 | 27 |
| 37.19 | 15 |
| 62.66 | 15 |
| 35.62 | 14 |
| 79.24 | 13 |
| 47.31 | 13 |

Structural model:
a = 5.931 Å, b = 5.931 Å, c = 8.353 Å
α = 90.00°, β = 90.00°, γ = 90.00°
Space group I4_1/amd (No. 141, origin choice 2)
Symmetry-distinct sites (fractional):
Li 0.000 0.000 0.000 x8
Cr 0.000 0.000 0.500 x8
O 0.000 0.016 0.257 x16

=====

The following is a theoretical powder diffractogram of LiCr3O4. It was derived from a crystal structure in the Materials Project, relaxed with GGA+U, using a wavelength of 1.5418 Å.

Largest 10 diffraction maxima, by intensity, 10° ≤ 2θ ≤ 90°:
| 2θ/deg | I (rel.) |
| --- | --- |
| 43.30 | 100 |
| 36.31 | 79 |
| 17.25 | 77 |
| 34.91 | 39 |
| 57.79 | 37 |
| 35.84 | 36 |
| 62.89 | 27 |
| 56.44 | 21 |
| 21.28 | 16 |
| 58.98 | 16 |

Structural model:
a = 6.615 Å, b = 8.351 Å, c = 3.176 Å
α = 90.00°, β = 99.57°, γ = 90.00°
Space group C2/m (No. 12)
Symmetry-distinct sites (fractional):
Li 0.000 0.000 0.000 x2
Cr 0.000 0.500 0.000 x2
Cr 0.250 0.250 0.500 x4
O 0.000 0.256 0.000 x4
O 0.212 0.500 0.561 x4